# ThTe4Au
Simulated powder XRD pattern, a wavelength of 1.5418 Å. Input: a DFT-relaxed cell (GGA-PBE, Alexandria).
Intensities are scaled so that the largest is 100.

The 10 most intense peaks (2θ = 10–80°), sorted by position:
2θ = 19.8°, 4.491 Å, I = 100.0, hkl 1 1 -1; 2θ = 21.3°, 4.168 Å, I = 74.0, hkl 0 0 2; 2θ = 22.6°, 3.938 Å, I = 72.0, hkl 1 0 -2; 2θ = 27.5°, 3.244 Å, I = 54.2, hkl 2 1 0; 2θ = 29.0°, 3.084 Å, I = 49.6, hkl 0 2 1; 2θ = 35.2°, 2.552 Å, I = 58.5, hkl 1 1 -3; 2θ = 38.5°, 2.337 Å, I = 61.5, hkl 3 1 -1; 2θ = 38.9°, 2.313 Å, I = 72.3, hkl 1 1 3; 2θ = 42.0°, 2.149 Å, I = 66.1, hkl 3 1 1; 2θ = 44.6°, 2.031 Å, I = 74.4, hkl 1 3 1

Crystal structure
```
data_ThTe4Au
_chemical_formula_sum 'Th2 Te8 Au2'
_cell_length_a 7.550
_cell_length_b 6.639
_cell_length_c 8.464
_cell_angle_alpha 90.00
_cell_angle_beta 99.95
_cell_angle_gamma 90.00
_symmetry_space_group_name_H-M 'P 1 21/c 1'
_symmetry_Int_Tables_number 14
_symmetry_space_group_name_Hall '-P 2ybc'
loop_
_atom_site_label
_atom_site_fract_x
_atom_site_fract_y
_atom_site_fract_z
Th1 0.000 0.000 0.000
Te1 0.157 0.122 0.349
Te2 0.378 0.630 0.399
Au1 0.500 0.000 0.500
```